1.
The following is a calculated X-ray diffraction stick pattern of Hg2Sb2O5. It was derived from a PBE-relaxed structure, using Cu Kα (λ = 1.5418 Å).
Lines closer than 0.1° are merged.

Crystal structure
Cell lengths 4.1137, 4.1137, 8.0842 Å; angles 90.00, 90.00, 90.00 degrees
Positions (direct):
Hg1 0.0000 0.0000 0.0000
Hg2 0.0000 0.0000 0.5000
Sb1 0.5000 0.5000 0.2464
Sb2 0.5000 0.5000 0.7536
O1 0.0000 0.5000 0.3130
O2 0.0000 0.5000 0.6870
O3 0.5000 0.0000 0.3130
O4 0.5000 0.0000 0.6870
O5 0.5000 0.5000 0.0000

Peak list (8 most intense, 2θ = 10–90°, low angle first)
- d = 2.909 Å, rel. 46, hkl 1 1 0
- d = 2.883 Å, rel. 100, hkl 1 0 2
- d = 2.057 Å, rel. 26, hkl 2 0 0
- d = 1.674 Å, rel. 41, hkl 2 1 2
- d = 1.660 Å, rel. 22, hkl 1 1 4
- d = 1.442 Å, rel. 13, hkl 2 0 4
- d = 1.098 Å, rel. 11, hkl 3 2 2
- d = 1.094 Å, rel. 12, hkl 3 1 4



2.
The following is a calculated X-ray diffraction stick pattern of HgSbSeO. It was derived from a PBE-relaxed structure, using Cu Kα (λ = 1.5418 Å).
Lines closer than 0.1° are merged.

Crystal structure
Cell lengths 5.9126, 5.6129, 11.7105 Å; angles 90.00, 101.61, 90.00 degrees
Positions (direct):
Hg1 0.1083 0.0000 0.1422
Hg2 0.3638 0.8017 0.9796
Hg3 0.6362 0.3017 0.0204
Hg4 0.8917 0.5000 0.8578
Sb1 0.0433 0.4006 0.3583
Sb2 0.4874 0.8844 0.4133
Sb3 0.5126 0.3844 0.5867
Sb4 0.9567 0.9006 0.6417
Se1 0.1859 0.2701 0.7712
Se2 0.3466 0.3769 0.2164
Se3 0.6534 0.8769 0.7836
Se4 0.8141 0.7701 0.2288
O1 0.2610 0.6112 0.4765
O2 0.2947 0.1388 0.4852
O3 0.7053 0.6388 0.5148
O4 0.7390 0.1112 0.5235

Peak list (8 most intense, 2θ = 10–90°, low angle first)
- d = 3.539 Å, rel. 30, hkl 1 1 -2
- d = 3.100 Å, rel. 100, hkl 1 1 2
- d = 2.805 Å, rel. 38, hkl 1 0 -4
- d = 2.572 Å, rel. 22, hkl 2 0 -3
- d = 2.524 Å, rel. 24, hkl 1 2 0
- d = 2.513 Å, rel. 22, hkl 1 2 -1
- d = 2.337 Å, rel. 29, hkl 2 1 -3
- d = 1.859 Å, rel. 23, hkl 3 1 -1